Simulated powder XRD pattern of Li4Mn2Fe3Co3O16 for Cu Kα X-rays, from the PBE+U geometry in Alexandria.
Peak positions follow from Bragg's law for the DFT cell and can differ from measured ones.

Structural model:
a b c (Å): 5.723 5.750 9.323
angles (deg): 89.72 89.06 60.40
Fractional coordinates of all 28 atoms:
Li: 0.000 0.000 0.000
Li: 0.005 0.013 0.501
Li: 0.322 0.339 0.095
Li: 0.653 0.682 0.597
Mn: 0.320 0.359 0.512
Mn: 0.656 0.677 0.009
Fe: 0.655 0.179 0.784
Fe: 0.818 0.850 0.285
Fe: 0.823 0.354 0.282
Co: 0.161 0.667 0.782
Co: 0.164 0.177 0.781
Co: 0.331 0.842 0.281
O: 0.001 0.006 0.692
O: 0.028 0.490 0.659
O: 0.157 0.185 0.391
O: 0.159 0.683 0.401
O: 0.315 0.343 0.884
O: 0.324 0.841 0.894
O: 0.459 0.505 0.650
O: 0.460 0.054 0.654
O: 0.501 0.970 0.147
O: 0.507 0.530 0.158
O: 0.652 0.682 0.386
O: 0.662 0.191 0.401
O: 0.833 0.831 0.903
O: 0.834 0.333 0.896
O: 0.948 0.522 0.151
O: 0.994 0.014 0.190

Principal peaks in the range 10 to 90 degrees two-theta, low angle first:
Position (°2θ)  I (rel.)  h k l
19.04  93.3  0 0 2
20.15  100.0  1 1 1
20.38  45.4  1 0 -1
36.61  23.8  1 2 2
36.82  22.9  -1 1 2
37.18  28.2  0 2 -1
37.27  27.7  0 2 1
37.62  23.8  2 2 -1
46.57  30.0  2 2 3
47.17  28.9  2 0 -3


Simulated powder XRD pattern of Li4FeCo2Ni3P6O24 for Cu Kα X-rays, from the PBE+U geometry in Alexandria.
Peak positions follow from Bragg's law for the DFT cell and can differ from measured ones.

Structural model:
a b c (Å): 8.353 8.461 8.624
angles (deg): 91.85 118.76 118.13
Fractional coordinates of all 40 atoms:
Li: 0.000 0.000 0.000
Li: 0.088 0.512 0.922
Li: 0.340 0.285 0.692
Li: 0.705 0.636 0.393
Fe: 0.494 0.220 0.446
Co: 0.157 0.355 0.278
Co: 0.216 0.880 0.810
Ni: 0.472 0.714 0.930
Ni: 0.908 0.521 0.148
Ni: 0.910 0.015 0.639
P: 0.000 0.935 0.331
P: 0.400 0.336 0.052
P: 0.404 0.802 0.254
P: 0.674 0.112 0.836
P: 0.731 0.618 0.756
P: 0.997 0.403 0.540
O: 0.007 0.885 0.504
O: 0.031 0.809 0.224
O: 0.055 0.464 0.398
O: 0.058 0.260 0.600
O: 0.120 0.582 0.710
O: 0.189 0.149 0.398
O: 0.215 0.597 0.206
O: 0.292 0.163 0.882
O: 0.309 0.250 0.176
O: 0.326 0.470 0.986
O: 0.369 0.823 0.064
O: 0.387 0.950 0.348
O: 0.486 0.929 0.824
O: 0.556 0.189 0.692
O: 0.567 0.617 0.788
O: 0.595 0.493 0.543
O: 0.622 0.827 0.395
O: 0.652 0.455 0.172
O: 0.748 0.300 0.451
O: 0.784 0.898 0.168
O: 0.818 0.074 0.800
O: 0.836 0.257 0.041
O: 0.858 0.547 0.894
O: 0.917 0.818 0.778

Principal peaks in the range 10 to 90 degrees two-theta, low angle first:
Position (°2θ)  I (rel.)  h k l
20.53  100.0  0 1 1
20.62  53.3  1 0 -2
23.95  47.4  0 1 -2
24.62  25.9  -1 2 1
32.68  35.0  1 -2 2
32.85  33.2  2 -1 1
33.12  29.9  1 -3 1
33.57  27.0  -3 1 1
35.91  36.3  1 2 0
36.06  55.9  -1 1 3